Entry 1:
The following is a theoretical X-ray powder pattern of SrRhO3. It was derived from a structure optimized by DFT (GGA-PBE), using a wavelength of 1.5418 Å.

Crystal structure
```
data_SrRhO3
_cell_length_a 5.5839
_cell_length_b 7.9545
_cell_length_c 5.7142
_cell_angle_alpha 90.00
_cell_angle_beta 90.00
_cell_angle_gamma 90.00
_symmetry_space_group_name_H-M 'I m m a'
_symmetry_Int_Tables_number 74
_symmetry_space_group_name_Hall '-I 2b 2'
loop_
_atom_site_label
_atom_site_type_symbol
_atom_site_fract_x
_atom_site_fract_y
_atom_site_fract_z
Sr1 Sr 0.0000 0.2500 0.0082
Rh1 Rh 0.0000 0.0000 0.5000
O1 O 0.0000 0.2500 0.5847
O2 O 0.2500 0.0496 0.2500
```

Top 10 peaks for 2θ from 10° to 90°, by intensity:
hkl 1 2 1, 2θ 31.8, rel. 100
hkl 2 0 2, 2θ 45.4, rel. 30
hkl 2 0 0, 2θ 32.1, rel. 24
hkl 0 0 2, 2θ 31.3, rel. 23
hkl 1 2 3, 2θ 56.0, rel. 23
hkl 3 2 1, 2θ 57.0, rel. 19
hkl 2 4 2, 2θ 66.3, rel. 16
hkl 0 4 0, 2θ 45.6, rel. 13
hkl 2 4 0, 2θ 56.8, rel. 11
hkl 0 4 2, 2θ 56.4, rel. 11

---

Entry 2:
The following is a theoretical X-ray powder pattern of Sr2RhO4. It was derived from a structure optimized by DFT (GGA-PBE), using a wavelength of 1.5418 Å.

Crystal structure
```
data_Sr2RhO4
_cell_length_a 5.4946
_cell_length_b 5.4946
_cell_length_c 26.3104
_cell_angle_alpha 90.00
_cell_angle_beta 90.00
_cell_angle_gamma 90.00
_symmetry_space_group_name_H-M 'I 41/a c d'
_symmetry_Int_Tables_number 142
loop_
_symmetry_equiv_pos_as_xyz
'x,y,z'
'-x,-y,-z'
'-y+1/4,x+3/4,z+1/4'
'y+1/4,-x+3/4,-z+1/4'
'-x+1/2,-y,z+1/2'
'x+1/2,y,-z+1/2'
'y+1/4,-x+1/4,z+3/4'
'-y+1/4,x+1/4,-z+3/4'
'x,-y,-z+1/2'
'-x,y,z+1/2'
'-y+1/4,-x+1/4,-z+1/4'
'y+1/4,x+1/4,z+1/4'
'-x+1/2,y,-z'
'x+1/2,-y,z'
'y+1/4,x+3/4,-z+3/4'
'-y+1/4,-x+3/4,z+3/4'
'x+1/2,y+1/2,z+1/2'
'-x+1/2,-y+1/2,-z+1/2'
'-y+3/4,x+1/4,z+3/4'
'y+3/4,-x+1/4,-z+3/4'
'-x,-y+1/2,z'
'x,y+1/2,-z'
'y+3/4,-x+3/4,z+1/4'
'-y+3/4,x+3/4,-z+1/4'
'x+1/2,-y+1/2,-z'
'-x+1/2,y+1/2,z'
'-y+3/4,-x+3/4,-z+3/4'
'y+3/4,x+3/4,z+3/4'
'-x,y+1/2,-z+1/2'
'x,-y+1/2,z+1/2'
'y+3/4,x+1/4,-z+1/4'
'-y+3/4,-x+1/4,z+1/4'
loop_
_atom_site_label
_atom_site_type_symbol
_atom_site_fract_x
_atom_site_fract_y
_atom_site_fract_z
Sr1 Sr 0.0000 0.2500 0.0502
Rh1 Rh 0.0000 0.2500 0.3750
O1 O 0.0000 0.2500 0.2950
O2 O 0.1935 0.0565 0.1250
```

Top 10 peaks for 2θ from 10° to 90°, by intensity:
hkl 1 1 6, 2θ 30.7, rel. 100
hkl 2 0 0, 2θ 32.6, rel. 65
hkl 3 1 6, 2θ 57.0, rel. 40
hkl 2 2 0, 2θ 46.8, rel. 30
hkl 2 0 12, 2θ 53.5, rel. 24
hkl 0 0 12, 2θ 41.2, rel. 19
hkl 0 0 4, 2θ 13.5, rel. 18
hkl 2 2 12, 2θ 64.0, rel. 18
hkl 4 2 0, 2θ 77.7, rel. 11
hkl 1 1 10, 2θ 41.4, rel. 10

---

Entry 3:
The following is a theoretical X-ray powder pattern of Sr2RhO4. It was derived from a structure optimized by DFT (GGA-PBE), using a wavelength of 1.5418 Å.

Crystal structure
```
data_Sr2RhO4
_cell_length_a 3.9508
_cell_length_b 3.9508
_cell_length_c 12.7432
_cell_angle_alpha 90.00
_cell_angle_beta 90.00
_cell_angle_gamma 90.00
_symmetry_space_group_name_H-M 'I 4/m m m'
_symmetry_Int_Tables_number 139
_symmetry_space_group_name_Hall '-I 4 2'
loop_
_atom_site_label
_atom_site_type_symbol
_atom_site_fract_x
_atom_site_fract_y
_atom_site_fract_z
Sr1 Sr 0.0000 0.0000 0.1455
Rh1 Rh 0.0000 0.0000 0.5000
O1 O 0.0000 0.0000 0.3369
O2 O 0.0000 0.5000 0.0000
```

Top 10 peaks for 2θ from 10° to 90°, by intensity:
hkl 1 0 3, 2θ 30.9, rel. 100
hkl 1 1 0, 2θ 32.0, rel. 66
hkl 2 1 3, 2θ 56.4, rel. 37
hkl 2 0 0, 2θ 45.9, rel. 35
hkl 0 0 2, 2θ 13.9, rel. 21
hkl 1 1 6, 2θ 54.3, rel. 19
hkl 2 0 6, 2θ 64.4, rel. 17
hkl 0 0 6, 2θ 42.6, rel. 16
hkl 1 0 5, 2θ 42.2, rel. 16
hkl 2 2 0, 2θ 67.0, rel. 11